# 1
Starting from a PBE-relaxed structure, the PXRD pattern of GaFe2Ir4 was calculated for copper Kα.
Peak positions follow from Bragg's law for the DFT cell and can differ from measured ones.

Cell and atoms:
```
data_GaFe2Ir4
_chemical_formula_sum 'Ga2 Fe4 Ir8'
_symmetry_space_group_name_H-M 'P 1'
_symmetry_Int_Tables_number 1
_symmetry_space_group_name_Hall 'P 1'
_cell_length_a 4.2313
_cell_length_b 4.2313
_cell_length_c 12.9423
_cell_angle_alpha 90.00
_cell_angle_beta 90.00
_cell_angle_gamma 120.00
loop_
_atom_site_label
_atom_site_type_symbol
_atom_site_fract_x
_atom_site_fract_y
_atom_site_fract_z
_atom_site_occupancy
Ga1 Ga 0.0000 0.0000 0.2500 1
Ga2 Ga 0.0000 0.0000 0.7500 1
Fe1 Fe 0.3333 0.6667 0.0570 1
Fe2 Fe 0.3333 0.6667 0.4430 1
Fe3 Fe 0.6667 0.3333 0.5570 1
Fe4 Fe 0.6667 0.3333 0.9430 1
Ir1 Ir 0.0000 0.0000 0.0000 1
Ir2 Ir 0.0000 0.0000 0.5000 1
Ir3 Ir 0.3333 0.6667 0.2500 1
Ir4 Ir 0.3333 0.6667 0.6381 1
Ir5 Ir 0.3333 0.6667 0.8619 1
Ir6 Ir 0.6667 0.3333 0.1381 1
Ir7 Ir 0.6667 0.3333 0.3619 1
Ir8 Ir 0.6667 0.3333 0.7500 1
```

Peak list (10 most intense, 2θ = 15–90°, low angle first)
2theta	I (rel.)
28.0	15
32.0	16
37.1	22
42.8	100
54.4	4
57.8	6
62.1	14
73.7	11
74.5	6
78.3	28

# 2
Starting from a PBE-relaxed structure, the PXRD pattern of SrCo5P3 was calculated for copper Kα.
Peak positions follow from Bragg's law for the DFT cell and can differ from measured ones.

Cell and atoms:
```
data_SrCo5P3
_chemical_formula_sum 'Sr2 Co10 P6'
_symmetry_space_group_name_H-M 'P 1'
_symmetry_Int_Tables_number 1
_symmetry_space_group_name_Hall 'P 1'
_cell_length_a 6.0558
_cell_length_b 6.0558
_cell_length_c 11.4732
_cell_angle_alpha 90.00
_cell_angle_beta 90.00
_cell_angle_gamma 145.28
loop_
_atom_site_label
_atom_site_type_symbol
_atom_site_fract_x
_atom_site_fract_y
_atom_site_fract_z
_atom_site_occupancy
Sr1 Sr 0.1638 0.8362 0.7500 1
Sr2 Sr 0.8362 0.1638 0.2500 1
Co1 Co 0.0000 0.0000 0.0000 1
Co2 Co 0.0000 0.0000 0.5000 1
Co3 Co 0.1968 0.8032 0.0654 1
Co4 Co 0.1968 0.8032 0.4346 1
Co5 Co 0.4455 0.5545 0.6425 1
Co6 Co 0.4455 0.5545 0.8575 1
Co7 Co 0.5545 0.4455 0.1425 1
Co8 Co 0.5545 0.4455 0.3575 1
Co9 Co 0.8032 0.1968 0.5654 1
Co10 Co 0.8032 0.1968 0.9346 1
P1 P 0.1062 0.8938 0.2500 1
P2 P 0.3820 0.6180 0.0368 1
P3 P 0.3820 0.6180 0.4632 1
P4 P 0.6180 0.3820 0.5368 1
P5 P 0.6180 0.3820 0.9632 1
P6 P 0.8938 0.1062 0.7500 1
```

Peak list (10 most intense, 2θ = 15–90°, low angle first)
2theta	I (rel.)
28.0	39
31.9	36
34.0	51
35.0	100
37.5	51
40.9	89
46.6	48
49.4	37
50.3	30
50.5	65

# 3
Starting from a PBE-relaxed structure, the PXRD pattern of MnTl2BiS4 was calculated for copper Kα.
Peak positions follow from Bragg's law for the DFT cell and can differ from measured ones.

Cell and atoms:
```
data_MnTl2BiS4
_chemical_formula_sum 'Mn2 Tl4 Bi2 S8'
_symmetry_space_group_name_H-M 'P 1'
_symmetry_Int_Tables_number 1
_symmetry_space_group_name_Hall 'P 1'
_cell_length_a 8.3082
_cell_length_b 9.3067
_cell_length_c 5.9947
_cell_angle_alpha 90.00
_cell_angle_beta 90.00
_cell_angle_gamma 90.00
loop_
_atom_site_label
_atom_site_type_symbol
_atom_site_fract_x
_atom_site_fract_y
_atom_site_fract_z
_atom_site_occupancy
Mn1 Mn 0.0000 0.1814 0.0000 1
Mn2 Mn 0.5000 0.8186 0.5000 1
Tl1 Tl 0.2054 0.6378 0.0588 1
Tl2 Tl 0.2946 0.3622 0.5588 1
Tl3 Tl 0.7054 0.3622 0.5588 1
Tl4 Tl 0.7946 0.6378 0.0588 1
Bi1 Bi 0.0000 0.9099 0.5428 1
Bi2 Bi 0.5000 0.0901 0.0428 1
S1 S 0.0000 0.2141 0.6258 1
S2 S 0.0000 0.9391 0.1064 1
S3 S 0.2503 0.2775 0.0686 1
S4 S 0.2497 0.7225 0.5686 1
S5 S 0.5000 0.0609 0.6064 1
S6 S 0.5000 0.7859 0.1258 1
S7 S 0.7497 0.2775 0.0686 1
S8 S 0.7503 0.7225 0.5686 1
```

Peak list (10 most intense, 2θ = 15–90°, low angle first)
2theta	I (rel.)
20.6	36
23.5	76
24.2	100
27.8	43
29.8	55
35.7	24
38.3	40
39.2	32
49.6	25
53.7	22

# 4
Starting from a PBE-relaxed structure, the PXRD pattern of Sm2In5Ag3 was calculated for copper Kα.
Peak positions follow from Bragg's law for the DFT cell and can differ from measured ones.

Cell and atoms:
```
data_Sm2In5Ag3
_chemical_formula_sum 'Sm4 In10 Ag6'
_symmetry_space_group_name_H-M 'P 1'
_symmetry_Int_Tables_number 1
_symmetry_space_group_name_Hall 'P 1'
_cell_length_a 9.3320
_cell_length_b 9.3320
_cell_length_c 9.3320
_cell_angle_alpha 99.46
_cell_angle_beta 94.02
_cell_angle_gamma 139.95
loop_
_atom_site_label
_atom_site_type_symbol
_atom_site_fract_x
_atom_site_fract_y
_atom_site_fract_z
_atom_site_occupancy
Sm1 Sm 0.1314 0.2413 0.3727 1
Sm2 Sm 0.3686 0.7413 0.1100 1
Sm3 Sm 0.6314 0.2587 0.8900 1
Sm4 Sm 0.8686 0.7587 0.6273 1
In1 In 0.0089 0.7500 0.2589 1
In2 In 0.1080 0.6508 0.7588 1
In3 In 0.2500 0.2500 0.0000 1
In4 In 0.3920 0.1508 0.5427 1
In5 In 0.4911 0.7500 0.7411 1
In6 In 0.5089 0.2500 0.2589 1
In7 In 0.6080 0.8492 0.4573 1
In8 In 0.7500 0.7500 0.0000 1
In9 In 0.8920 0.3492 0.2412 1
In10 In 0.9911 0.2500 0.7411 1
Ag1 Ag 0.1305 0.8673 0.9977 1
Ag2 Ag 0.2500 0.7500 0.5000 1
Ag3 Ag 0.3695 0.3673 0.7368 1
Ag4 Ag 0.6305 0.6327 0.2632 1
Ag5 Ag 0.7500 0.2500 0.5000 1
Ag6 Ag 0.8695 0.1327 0.0023 1
```

Peak list (10 most intense, 2θ = 15–90°, low angle first)
2theta	I (rel.)
29.8	78
31.7	99
31.8	94
40.0	100
41.2	42
42.5	60
50.6	27
59.7	21
67.4	21
75.9	20